No. 1
Structure and theoretical powder XRD pattern of Mo2WSe4S2 (a crystal structure in the Materials Project, relaxed with GGA-PBE; a wavelength of 1.5418 Å).

```
data_Mo2WSe4S2
_chemical_formula_sum 'Mo2 W1 Se4 S2'
_cell_length_a 3.2742
_cell_length_b 3.2742
_cell_length_c 30.2002
_cell_angle_alpha 90.00
_cell_angle_beta 90.00
_cell_angle_gamma 120.00
_symmetry_space_group_name_H-M 'P -6 m 2'
_symmetry_Int_Tables_number 187
_symmetry_space_group_name_Hall 'P -6 2'
loop_
_atom_site_label
_atom_site_type_symbol
_atom_site_fract_x
_atom_site_fract_y
_atom_site_fract_z
_atom_site_occupancy
Mo1 Mo 0.0000 0.0000 0.2313 1
W1 W 0.3333 0.6667 0.0000 1
Se1 Se 0.3333 0.6667 0.1754 1
Se2 Se 0.3333 0.6667 0.2873 1
S1 S 0.0000 0.0000 0.0512 1
```

Largest 12 diffraction maxima, by angle, 2θ from 15° to 90°:
Position (°2θ)  intensity  hkl
31.55  67  1 0 0
31.69  25  1 0 1
33.77  27  1 0 4
36.37  86  1 0 6
37.97  100  1 0 7
43.79  43  1 0 10
46.02  82  1 0 11
56.21  51  1 1 0
57.61  22  1 1 4
61.61  16  1 0 17
75.47  19  2 0 11
79.64  23  1 1 17

No. 2
Structure and theoretical powder XRD pattern of MoW3Se6S2 (a crystal structure in the Materials Project, relaxed with GGA-PBE; a wavelength of 1.5418 Å).

```
data_MoW3Se6S2
_chemical_formula_sum 'Mo1 W3 Se6 S2'
_cell_length_a 3.2892
_cell_length_b 3.2892
_cell_length_c 37.4367
_cell_angle_alpha 90.00
_cell_angle_beta 90.00
_cell_angle_gamma 120.00
_symmetry_space_group_name_H-M 'P 3 m 1'
_symmetry_Int_Tables_number 156
loop_
_symmetry_equiv_pos_as_xyz
'x,y,z'
'-y,x-y,z'
'-x+y,-x,z'
'-y,-x,z'
'-x+y,y,z'
'x,x-y,z'
loop_
_atom_site_label
_atom_site_type_symbol
_atom_site_fract_x
_atom_site_fract_y
_atom_site_fract_z
_atom_site_occupancy
Mo1 Mo 0.0000 0.0000 0.0000 1
W1 W 0.0000 0.0000 0.3757 1
W2 W 0.3333 0.6667 0.1879 1
W3 W 0.3333 0.6667 0.5636 1
Se1 Se 0.0000 0.0000 0.1425 1
Se2 Se 0.0000 0.0000 0.2332 1
Se3 Se 0.0000 0.0000 0.5183 1
Se4 Se 0.0000 0.0000 0.6090 1
Se5 Se 0.3333 0.6667 0.3304 1
Se6 Se 0.3333 0.6667 0.4211 1
S1 S 0.3333 0.6667 0.0409 1
S2 S 0.3333 0.6667 0.9591 1
```

Largest 12 diffraction maxima, by angle, 2θ from 15° to 90°:
Position (°2θ)  intensity  hkl
31.43  50  1 0 0
33.66  21  1 0 5
35.71  16  0 1 7
36.94  100  1 0 8
38.30  19  1 0 9
44.75  64  0 1 13
46.58  25  1 0 14
55.92  39  1 1 0
57.36  18  1 1 5
68.91  16  0 2 8
74.29  14  2 0 13
79.25  17  1 1 21

No. 3
Structure and theoretical powder XRD pattern of MoWSe2S2 (a crystal structure in the Materials Project, relaxed with GGA-PBE; a wavelength of 1.5418 Å).

```
data_MoWSe2S2
_chemical_formula_sum 'Mo2 W2 Se4 S4'
_cell_length_a 3.2556
_cell_length_b 3.2556
_cell_length_c 36.3313
_cell_angle_alpha 90.00
_cell_angle_beta 90.00
_cell_angle_gamma 120.00
_symmetry_space_group_name_H-M 'P -3 m 1'
_symmetry_Int_Tables_number 164
_symmetry_space_group_name_Hall '-P 3 2"'
loop_
_atom_site_label
_atom_site_type_symbol
_atom_site_fract_x
_atom_site_fract_y
_atom_site_fract_z
_atom_site_occupancy
Mo1 Mo 0.3333 0.6667 0.2182 1
W1 W 0.3333 0.6667 0.5939 1
Se1 Se 0.3333 0.6667 0.7351 1
Se2 Se 0.3333 0.6667 0.8286 1
S1 S 0.3333 0.6667 0.3634 1
S2 S 0.3333 0.6667 0.4487 1
```

Largest 12 diffraction maxima, by angle, 2θ from 15° to 90°:
Position (°2θ)  intensity  hkl
31.77  56  1 0 0
32.13  13  0 1 2
32.61  15  1 0 3
34.11  20  1 0 5
37.55  100  0 1 8
45.71  57  1 0 13
47.62  22  0 1 14
56.55  33  1 1 0
58.07  17  1 1 5
69.87  17  2 0 8
75.54  13  0 2 13
81.12  16  1 1 21

No. 4
Structure and theoretical powder XRD pattern of MoWSe3S (a crystal structure in the Materials Project, relaxed with GGA-PBE; a wavelength of 1.5418 Å).

```
data_MoWSe3S
_chemical_formula_sum 'Mo2 W2 Se6 S2'
_cell_length_a 3.2932
_cell_length_b 3.2932
_cell_length_c 37.3941
_cell_angle_alpha 90.00
_cell_angle_beta 90.00
_cell_angle_gamma 120.00
_symmetry_space_group_name_H-M 'P 3 m 1'
_symmetry_Int_Tables_number 156
loop_
_symmetry_equiv_pos_as_xyz
'x,y,z'
'-y,x-y,z'
'-x+y,-x,z'
'-y,-x,z'
'-x+y,y,z'
'x,x-y,z'
loop_
_atom_site_label
_atom_site_type_symbol
_atom_site_fract_x
_atom_site_fract_y
_atom_site_fract_z
_atom_site_occupancy
Mo1 Mo 0.0000 0.0000 0.0000 1
Mo2 Mo 0.0000 0.0000 0.3758 1
W1 W 0.3333 0.6667 0.1879 1
W2 W 0.3333 0.6667 0.5637 1
Se1 Se 0.0000 0.0000 0.1426 1
Se2 Se 0.0000 0.0000 0.2332 1
Se3 Se 0.0000 0.0000 0.5184 1
Se4 Se 0.0000 0.0000 0.6090 1
Se5 Se 0.3333 0.6667 0.3307 1
Se6 Se 0.3333 0.6667 0.4208 1
S1 S 0.3333 0.6667 0.0410 1
S2 S 0.3333 0.6667 0.9590 1
```

Largest 12 diffraction maxima, by angle, 2θ from 15° to 90°:
Position (°2θ)  intensity  hkl
31.39  52  1 0 0
33.63  24  1 0 5
35.69  12  0 1 7
36.92  100  1 0 8
38.28  15  1 0 9
44.75  65  0 1 13
46.59  24  1 0 14
55.85  38  1 1 0
57.29  16  1 1 5
68.83  16  0 2 8
74.23  14  2 0 13
79.24  17  1 1 21